(1)
This entry pairs a crystal structure of Li4Cr3Co3Sn2O16 with its theoretical powder diffractogram. Radiation: Cu Kα (weighted mean of Kα1 and Kα2). Structure: a DFT-relaxed cell (PBE+U, the Materials Project).

Principal peaks in the range 2θ from 10° to 80°, in order of falling intensity:
2θ 19.50, I = 1000
2θ 35.39, I = 689
2θ 19.60, I = 593
2θ 32.58, I = 372
2θ 35.78, I = 347
2θ 62.95, I = 320
2θ 36.24, I = 315
2θ 25.15, I = 307
2θ 59.45, I = 293
2θ 44.90, I = 283

Atomic structure:
Lattice parameters (Å, degrees): 5.9069 5.9069 9.7093 90.68 90.68 60.49
Fractional coordinates of all 28 atoms:
Li: 0.0000 0.0000 0.0000
Li: 0.9997 0.9997 0.5000
Li: 0.3389 0.3389 0.0987
Li: 0.6723 0.6723 0.5988
Cr: 0.1735 0.1735 0.7799
Cr: 0.3421 0.8324 0.2794
Cr: 0.8324 0.3421 0.2794
Co: 0.1715 0.6640 0.7789
Co: 0.6640 0.1715 0.7789
Co: 0.8333 0.8333 0.2791
Sn: 0.3347 0.3347 0.5016
Sn: 0.6691 0.6691 0.0030
O: 0.0020 0.0020 0.6873
O: 0.0391 0.4857 0.6559
O: 0.1581 0.6810 0.3913
O: 0.1603 0.1603 0.3955
O: 0.3226 0.8440 0.8950
O: 0.3395 0.3395 0.8859
O: 0.4857 0.0391 0.6559
O: 0.4872 0.4872 0.6556
O: 0.5205 0.5205 0.1540
O: 0.5308 0.9687 0.1612
O: 0.6772 0.6772 0.3836
O: 0.6810 0.1581 0.3913
O: 0.8405 0.8405 0.8895
O: 0.8440 0.3226 0.8950
O: 0.9687 0.5308 0.1612
O: 0.9955 0.9955 0.1862

(2)
This entry pairs a crystal structure of LiVF4 with its theoretical powder diffractogram. Radiation: Cu Kα (weighted mean of Kα1 and Kα2). Structure: a DFT-relaxed cell (PBE+U, the Materials Project).

Principal peaks in the range 2θ from 10° to 80°, in order of falling intensity:
2θ 20.65, I = 1000
2θ 40.08, I = 542
2θ 14.92, I = 458
2θ 22.77, I = 451
2θ 53.30, I = 438
2θ 34.50, I = 424
2θ 39.88, I = 316
2θ 26.93, I = 309
2θ 62.14, I = 236
2θ 53.14, I = 200

Atomic structure:
Lattice parameters (Å, degrees): 4.6141 11.8766 5.1854 90.00 90.00 90.00
Fractional coordinates of all 24 atoms:
Li: 0.0000 0.1790 0.2500
Li: 0.0000 0.8210 0.7500
Li: 0.5000 0.3210 0.7500
Li: 0.5000 0.6790 0.2500
V: 0.0000 0.4289 0.2500
V: 0.0000 0.5711 0.7500
V: 0.5000 0.0711 0.7500
V: 0.5000 0.9289 0.2500
F: 0.2287 0.4462 0.5868
F: 0.2287 0.5538 0.0868
F: 0.2314 0.3166 0.0900
F: 0.2314 0.6834 0.5900
F: 0.2686 0.1834 0.5900
F: 0.2686 0.8166 0.0900
F: 0.2713 0.0538 0.0868
F: 0.2713 0.9462 0.5868
F: 0.7287 0.0538 0.4132
F: 0.7287 0.9462 0.9132
F: 0.7314 0.1834 0.9100
F: 0.7314 0.8166 0.4100
F: 0.7686 0.3166 0.4100
F: 0.7686 0.6834 0.9100
F: 0.7713 0.4462 0.9132
F: 0.7713 0.5538 0.4132

(3)
This entry pairs a crystal structure of MgMn5O8 with its theoretical powder diffractogram. Radiation: Cu Kα (weighted mean of Kα1 and Kα2). Structure: a DFT-relaxed cell (PBE+U, the Materials Project).

Principal peaks in the range 2θ from 10° to 80°, in order of falling intensity:
2θ 16.75, I = 1000
2θ 44.02, I = 877
2θ 19.35, I = 817
2θ 45.10, I = 802
2θ 36.34, I = 801
2θ 29.03, I = 465
2θ 33.88, I = 444
2θ 46.06, I = 405
2θ 22.73, I = 393
2θ 22.39, I = 358

Atomic structure:
Lattice parameters (Å, degrees): 5.3464 5.8658 6.3728 116.11 109.61 90.78
Fractional coordinates of all 14 atoms:
Mg: 0.0000 0.0000 0.0000
Mn: 0.0033 0.5148 0.0304
Mn: 0.2176 0.7816 0.5517
Mn: 0.5171 0.2822 0.0624
Mn: 0.5230 0.7853 0.0678
Mn: 0.9992 0.2625 0.5238
O: 0.0690 0.6276 0.7905
O: 0.0807 0.1506 0.7841
O: 0.3906 0.6145 0.2319
O: 0.4314 0.1141 0.2329
O: 0.5837 0.9335 0.8569
O: 0.6149 0.4489 0.8854
O: 0.9685 0.3820 0.2722
O: 0.9680 0.9051 0.2774